# 1
This entry pairs a crystal structure of Li5Fe8B8O24 with its simulated powder diffractogram. Radiation: Cu Kα (λ = 1.5418 Å). Structure: a cell relaxed with GGA+U.
No peak broadening, texture or thermal motion is included.

Crystal structure
a = 5.2762 Å, b = 9.0840 Å, c = 11.3715 Å
α = 113.17°, β = 102.46°, γ = 90.06°
Positions (direct):
Li1 0.0000 0.0000 0.0000
Li2 0.0607 0.3880 0.7614
Li3 0.3131 0.6235 0.2679
Li4 0.5007 0.5003 0.0059
Li5 0.8117 0.1212 0.2636
Fe1 0.0433 0.7100 0.7358
Fe2 0.2372 0.9128 0.4860
Fe3 0.2921 0.2730 0.2333
Fe4 0.4956 0.8336 0.9807
Fe5 0.5420 0.1982 0.7301
Fe6 0.7315 0.4119 0.4825
Fe7 0.7959 0.7738 0.2310
Fe8 0.9807 0.3213 0.9825
B1 0.0392 0.0366 0.7316
B2 0.2354 0.5737 0.4819
B3 0.2909 0.9443 0.2297
B4 0.4968 0.1617 0.9865
B5 0.5280 0.5347 0.7319
B6 0.7378 0.0704 0.4759
B7 0.7897 0.4488 0.2319
B8 0.9885 0.6546 0.9748
O1 0.0154 0.5798 0.5346
O2 0.0310 0.4344 0.2004
O3 0.0842 0.7715 0.9372
O4 0.1236 0.5226 0.9648
O5 0.1368 0.0623 0.2156
O6 0.2007 0.8335 0.2727
O7 0.2544 0.0162 0.6770
O8 0.2580 0.1791 0.0235
O9 0.3193 0.6990 0.4589
O10 0.3618 0.4334 0.4483
O11 0.4115 0.4059 0.7379
O12 0.4171 0.6804 0.7656
O13 0.5138 0.0726 0.5198
O14 0.5310 0.9320 0.1962
O15 0.5886 0.2767 0.9483
O16 0.6324 0.5624 0.2127
O17 0.6423 0.0397 0.9922
O18 0.7013 0.3428 0.2814
O19 0.7574 0.6749 0.0164
O20 0.7715 0.5246 0.6928
O21 0.8318 0.2053 0.4643
O22 0.8672 0.9324 0.4396
O23 0.9343 0.9120 0.7513
O24 0.9410 0.1865 0.7694

Peak list (12 most intense, 15 to 90 degrees two-theta, most intense first)
2θ/deg, d_spacing, Rel. int.
19.51, 4.550, 100
35.33, 2.540, 94
21.50, 4.134, 76
34.14, 2.626, 66
26.05, 3.421, 59
21.42, 4.148, 54
40.39, 2.233, 45
33.99, 2.638, 26
26.51, 3.363, 22
53.94, 1.700, 22
40.77, 2.213, 21
53.70, 1.707, 20

=====

# 2
This entry pairs a crystal structure of Ba2MgMnO4 with its simulated powder diffractogram. Radiation: Cu Kα (λ = 1.5418 Å). Structure: a cell relaxed with GGA+U.
No peak broadening, texture or thermal motion is included.

Crystal structure
a = 4.0412 Å, b = 4.0412 Å, c = 8.9878 Å
α = 90.62°, β = 90.62°, γ = 90.14°
Positions (direct):
Ba1 0.0023 0.0023 0.2106
Ba2 0.9977 0.9977 0.7894
Mg1 0.5000 0.5000 0.5000
Mn1 0.5000 0.5000 0.0000
O1 0.0000 0.5000 0.0000
O2 0.4928 0.4928 0.7096
O3 0.5000 0.0000 0.0000
O4 0.5072 0.5072 0.2904

Peak list (12 most intense, 15 to 90 degrees two-theta, most intense first)
2θ/deg, d_spacing, Rel. int.
31.30, 2.857, 100
29.90, 2.989, 81
29.57, 3.021, 77
37.21, 2.417, 52
44.86, 2.020, 50
22.00, 4.041, 41
37.58, 2.393, 38
54.54, 1.682, 29
19.76, 4.493, 27
40.14, 2.247, 16
55.10, 1.667, 16
54.79, 1.675, 14

=====

# 3
This entry pairs a crystal structure of Cs4MgW2O8 with its simulated powder diffractogram. Radiation: Cu Kα (λ = 1.5418 Å). Structure: a cell relaxed with GGA+U.
No peak broadening, texture or thermal motion is included.

Crystal structure
a = 6.6507 Å, b = 7.5741 Å, c = 10.5209 Å
α = 96.52°, β = 104.84°, γ = 115.98°
Positions (direct):
Cs1 0.0000 0.0000 0.0000
Cs2 0.0198 0.7103 0.3947
Cs3 0.6782 0.3390 0.0197
Cs4 0.7140 0.0653 0.4272
Mg1 0.2216 0.5596 0.7441
W1 0.3438 0.3570 0.3644
W2 0.3713 0.6962 0.0476
O1 0.0473 0.3131 0.2677
O2 0.1828 0.7316 0.1336
O3 0.2250 0.4409 0.9285
O4 0.3147 0.1833 0.4730
O5 0.3991 0.8393 0.9159
O6 0.4718 0.2919 0.2439
O7 0.5385 0.6223 0.4581
O8 0.6643 0.7656 0.1609

Peak list (12 most intense, 15 to 90 degrees two-theta, most intense first)
2θ/deg, d_spacing, Rel. int.
24.91, 3.575, 100
18.07, 4.910, 93
25.46, 3.498, 85
26.87, 3.318, 81
27.24, 3.274, 52
29.90, 2.988, 48
23.74, 3.747, 42
31.03, 2.882, 41
25.36, 3.513, 40
26.07, 3.418, 37
33.55, 2.671, 31
37.32, 2.409, 30

=====

# 4
This entry pairs a crystal structure of MgMn2Fe2O8 with its simulated powder diffractogram. Radiation: Cu Kα (λ = 1.5418 Å). Structure: a cell relaxed with GGA+U.
No peak broadening, texture or thermal motion is included.

Crystal structure
a = 4.8376 Å, b = 5.6847 Å, c = 4.9680 Å
α = 90.00°, β = 92.52°, γ = 90.00°
Positions (direct):
Mg1 0.0000 0.0000 0.0000
Mn1 0.5000 0.2387 0.5000
Mn2 0.5000 0.9561 0.0000
Fe1 0.0000 0.4709 0.0000
Fe2 0.0000 0.7135 0.5000
O1 0.2209 0.7358 0.8411
O2 0.2305 0.4670 0.3353
O3 0.2771 0.2094 0.8277
O4 0.2812 0.9827 0.3145
O5 0.7188 0.9827 0.6855
O6 0.7229 0.2094 0.1723
O7 0.7695 0.4670 0.6647
O8 0.7791 0.7358 0.1589

Peak list (12 most intense, 15 to 90 degrees two-theta, most intense first)
2θ/deg, d_spacing, Rel. int.
24.17, 3.682, 100
29.72, 3.006, 57
36.43, 2.467, 51
30.71, 2.911, 48
52.43, 1.745, 42
53.67, 1.708, 40
65.25, 1.430, 28
36.20, 2.482, 25
51.62, 1.771, 24
40.70, 2.217, 21
54.12, 1.695, 21
51.83, 1.764, 18

=====

# 5
This entry pairs a crystal structure of MoPbO2 with its simulated powder diffractogram. Radiation: Cu Kα (λ = 1.5418 Å). Structure: a cell relaxed with GGA+U.
No peak broadening, texture or thermal motion is included.

Crystal structure
a = 7.6813 Å, b = 7.6813 Å, c = 7.6813 Å
α = 127.93°, β = 127.93°, γ = 76.73°
Positions (direct):
Mo1 0.0000 0.0000 0.0000
Mo2 0.0000 0.0000 0.5000
Mo3 0.0000 0.5000 0.0000
Mo4 0.5000 0.0000 0.5000
Pb1 0.0000 0.5000 0.5000
Pb2 0.5000 0.0000 0.0000
Pb3 0.5000 0.5000 0.0000
Pb4 0.5000 0.5000 0.5000
O1 0.1749 0.7170 0.4579
O2 0.2410 0.2830 0.9579
O3 0.2830 0.2410 0.4579
O4 0.2830 0.8251 0.0421
O5 0.7170 0.1749 0.9579
O6 0.7170 0.7590 0.5421
O7 0.7590 0.7170 0.0421
O8 0.8251 0.2830 0.5421

Peak list (12 most intense, 15 to 90 degrees two-theta, most intense first)
2θ/deg, d_spacing, Rel. int.
30.38, 2.942, 100
37.74, 2.384, 41
29.67, 3.011, 38
48.72, 1.869, 37
63.62, 1.463, 27
53.10, 1.725, 24
15.06, 5.884, 17
63.22, 1.471, 17
79.50, 1.206, 16
54.43, 1.686, 14
30.56, 2.925, 10
74.54, 1.273, 10

=====

# 6
This entry pairs a crystal structure of NaMg14CrO16 with its simulated powder diffractogram. Radiation: Cu Kα (λ = 1.5418 Å). Structure: a cell relaxed with GGA+U.
No peak broadening, texture or thermal motion is included.

Crystal structure
a = 8.5574 Å, b = 8.5574 Å, c = 4.2721 Å
α = 90.00°, β = 90.00°, γ = 90.00°
Positions (direct):
Na1 0.0000 0.0000 0.0000
Mg1 0.0000 0.2450 0.5000
Mg2 0.0000 0.5000 0.0000
Mg3 0.0000 0.7550 0.5000
Mg4 0.2450 0.0000 0.5000
Mg5 0.2448 0.2448 0.0000
Mg6 0.2453 0.5000 0.5000
Mg7 0.2448 0.7552 0.0000
Mg8 0.5000 0.0000 0.0000
Mg9 0.5000 0.2453 0.5000
Mg10 0.5000 0.7547 0.5000
Mg11 0.7550 0.0000 0.5000
Mg12 0.7552 0.2448 0.0000
Mg13 0.7547 0.5000 0.5000
Mg14 0.7552 0.7552 0.0000
Cr1 0.5000 0.5000 0.0000
O1 0.0000 0.0000 0.5000
O2 0.0000 0.2665 0.0000
O3 0.0000 0.5000 0.5000
O4 0.0000 0.7335 0.0000
O5 0.2521 0.2521 0.5000
O6 0.2521 0.7479 0.5000
O7 0.2619 0.5000 0.0000
O8 0.2665 0.0000 0.0000
O9 0.5000 0.0000 0.5000
O10 0.5000 0.2619 0.0000
O11 0.5000 0.5000 0.5000
O12 0.5000 0.7381 0.0000
O13 0.7335 0.0000 0.0000
O14 0.7381 0.5000 0.0000
O15 0.7479 0.2521 0.5000
O16 0.7479 0.7479 0.5000

Peak list (12 most intense, 15 to 90 degrees two-theta, most intense first)
2θ/deg, d_spacing, Rel. int.
42.27, 2.138, 100
61.31, 1.512, 56
77.29, 1.235, 16
36.39, 2.469, 14
73.44, 1.289, 8
23.26, 3.825, 4
31.38, 2.851, 3
62.35, 1.489, 1
20.77, 4.277, 1
29.54, 3.024, 1
48.80, 1.866, 1
25.52, 3.490, 1

=====

# 7
This entry pairs a crystal structure of Li3Co2Si2O8 with its simulated powder diffractogram. Radiation: Cu Kα (λ = 1.5418 Å). Structure: a cell relaxed with GGA+U.
No peak broadening, texture or thermal motion is included.

Crystal structure
a = 5.2453 Å, b = 5.2591 Å, c = 6.4092 Å
α = 90.01°, β = 90.59°, γ = 91.32°
Positions (direct):
Li1 0.0000 0.0000 0.0000
Li2 0.1222 0.5122 0.7446
Li3 0.4994 0.1392 0.2483
Co1 0.1333 0.5090 0.2531
Co2 0.4922 0.1451 0.7380
Si1 0.6315 0.6350 0.9913
Si2 0.9921 0.9955 0.4969
O1 0.0373 0.6924 0.4994
O2 0.1100 0.1250 0.2833
O3 0.1286 0.1212 0.7141
O4 0.4998 0.5095 0.1949
O5 0.5063 0.4958 0.7813
O6 0.5852 0.9508 0.9757
O7 0.6855 0.0649 0.5098
O8 0.9450 0.6171 0.9966

Peak list (12 most intense, 15 to 90 degrees two-theta, most intense first)
2θ/deg, d_spacing, Rel. int.
21.84, 4.070, 100
34.15, 2.625, 53
22.01, 4.038, 32
32.73, 2.736, 24
24.25, 3.671, 15
60.18, 1.538, 15
32.91, 2.722, 14
27.61, 3.231, 12
57.53, 1.602, 11
36.95, 2.433, 11
32.60, 2.747, 11
27.88, 3.200, 9

=====

# 8
This entry pairs a crystal structure of LiCoPO4 with its simulated powder diffractogram. Radiation: Cu Kα (λ = 1.5418 Å). Structure: a cell relaxed with GGA+U.
No peak broadening, texture or thermal motion is included.

Crystal structure
a = 10.2218 Å, b = 6.8366 Å, c = 5.0539 Å
α = 90.00°, β = 90.00°, γ = 90.00°
Positions (direct):
Li1 0.1495 0.0017 0.0000
Li2 0.3505 0.5017 0.5000
Li3 0.6495 0.4983 0.0000
Li4 0.8505 0.9983 0.5000
Co1 0.1604 0.5047 0.9984
Co2 0.3396 0.0047 0.4984
Co3 0.6604 0.9953 0.9984
Co4 0.8396 0.4953 0.4984
P1 0.0970 0.2566 0.4943
P2 0.4030 0.7566 0.9943
P3 0.5970 0.2434 0.4943
P4 0.9030 0.7434 0.9943
O1 0.0523 0.7432 0.0539
O2 0.1231 0.2570 0.1907
O3 0.1571 0.0675 0.6148
O4 0.1642 0.4410 0.6136
O5 0.3358 0.9410 0.1136
O6 0.3429 0.5675 0.1148
O7 0.3769 0.7570 0.6907
O8 0.4477 0.2432 0.5539
O9 0.5523 0.7568 0.0539
O10 0.6231 0.2430 0.1907
O11 0.6571 0.4325 0.6148
O12 0.6642 0.0590 0.6136
O13 0.8358 0.5590 0.1136
O14 0.8429 0.9325 0.1148
O15 0.8769 0.7430 0.6907
O16 0.9477 0.2568 0.5539

Peak list (12 most intense, 15 to 90 degrees two-theta, most intense first)
2θ/deg, d_spacing, Rel. int.
23.56, 3.776, 100
21.87, 4.064, 81
36.27, 2.477, 64
21.71, 4.093, 64
15.59, 5.683, 60
35.53, 2.527, 49
29.29, 3.050, 43
31.49, 2.841, 42
35.12, 2.555, 38
64.28, 1.449, 28
44.53, 2.035, 24
46.68, 1.946, 21

=====

# 9
This entry pairs a crystal structure of RbMgFeSe2O8 with its simulated powder diffractogram. Radiation: Cu Kα (λ = 1.5418 Å). Structure: a cell relaxed with GGA+U.
No peak broadening, texture or thermal motion is included.

Crystal structure
a = 5.3391 Å, b = 5.7675 Å, c = 7.5118 Å
α = 100.03°, β = 92.90°, γ = 111.35°
Positions (direct):
Rb1 0.0000 0.0000 0.0000
Mg1 0.2949 0.5731 0.7281
Fe1 0.9534 0.8627 0.5151
Se1 0.3858 0.6905 0.2293
Se2 0.5987 0.1940 0.6680
O1 0.2145 0.8674 0.3180
O2 0.2423 0.1905 0.6590
O3 0.2965 0.4146 0.2896
O4 0.3487 0.6768 0.0042
O5 0.5990 0.8778 0.6623
O6 0.6937 0.3229 0.8875
O7 0.7191 0.8668 0.2976
O8 0.9831 0.6283 0.6322

Peak list (12 most intense, 15 to 90 degrees two-theta, most intense first)
2θ/deg, d_spacing, Rel. int.
33.79, 2.652, 100
16.87, 5.255, 69
32.16, 2.784, 64
31.95, 2.801, 63
29.15, 3.064, 62
18.62, 4.766, 62
28.45, 3.137, 59
29.28, 3.050, 57
22.27, 3.993, 54
22.76, 3.907, 50
32.28, 2.773, 47
20.40, 4.353, 46

=====

# 10
This entry pairs a crystal structure of Li6Mn5O12 with its simulated powder diffractogram. Radiation: Cu Kα (λ = 1.5418 Å). Structure: a cell relaxed with GGA+U.
No peak broadening, texture or thermal motion is included.

Crystal structure
a = 5.0440 Å, b = 5.0440 Å, c = 9.5452 Å
α = 94.14°, β = 94.14°, γ = 117.84°
Positions (direct):
Li1 0.0000 0.0000 0.0000
Li2 0.0557 0.3939 0.2347
Li3 0.3843 0.0739 0.2356
Li4 0.6061 0.9443 0.7653
Li5 0.6631 0.3369 0.0000
Li6 0.9261 0.6157 0.7644
Mn1 0.1641 0.8359 0.5000
Mn2 0.2646 0.2708 0.7536
Mn3 0.3238 0.6762 0.0000
Mn4 0.7292 0.7354 0.2464
Mn5 0.8167 0.1833 0.5000
O1 0.0037 0.3243 0.8787
O2 0.0410 0.7030 0.1181
O3 0.0559 0.0825 0.3728
O4 0.1493 0.5288 0.6120
O5 0.2970 0.9590 0.8819
O6 0.3926 0.4134 0.1333
O7 0.4712 0.8507 0.3880
O8 0.5091 0.1693 0.6196
O9 0.5866 0.6074 0.8667
O10 0.6757 0.9963 0.1213
O11 0.8307 0.4909 0.3804
O12 0.9175 0.9441 0.6272

Peak list (12 most intense, 15 to 90 degrees two-theta, most intense first)
2θ/deg, d_spacing, Rel. int.
21.11, 4.209, 100
44.54, 2.034, 71
27.98, 3.188, 50
42.21, 2.141, 38
63.57, 1.464, 19
62.51, 1.486, 18
80.39, 1.194, 11
36.95, 2.433, 10
64.91, 1.437, 9
64.74, 1.440, 9
53.19, 1.722, 9
22.63, 3.929, 9